Entry 1:
Computed powder diffractogram
Compound: NbAl4Ni15
Radiation: Cu Ka
Structure: DFT lattice parameters and positions (PBE)
No peak broadening, texture or thermal motion is included.

Atomic structure:
Cell: 3.5972 3.5972 17.8542 Å, 90.00 90.00 90.00°
Space group P4/mmm (No. 123)
Unique sites:
1 Nb 0.0000 0.0000 0.0000 (multiplicity 1)
2 Al 0.0000 0.0000 0.2055 (multiplicity 2)
3 Al 0.0000 0.0000 0.4013 (multiplicity 2)
4 Ni 0.0000 0.5000 0.1040 (multiplicity 4)
5 Ni 0.0000 0.5000 0.3026 (multiplicity 4)
6 Ni 0.0000 0.5000 0.5000 (multiplicity 2)
7 Ni 0.5000 0.5000 0.0000 (multiplicity 1)
8 Ni 0.5000 0.5000 0.2035 (multiplicity 2)
9 Ni 0.5000 0.5000 0.4010 (multiplicity 2)

Largest 10 diffraction maxima, sorted by position, 10° ≤ 2θ ≤ 90°:
d [Å], I_rel, index
3.597, 2, 1 0 0
3.526, 2, 1 0 1
3.337, 1, 1 0 2
2.534, 2, 1 0 5
2.210, 1, 1 1 4
2.072, 100, 1 1 5
1.799, 32, 2 0 0
1.785, 15, 0 0 10
1.272, 9, 2 2 0
1.267, 18, 2 0 10

=====

Entry 2:
Computed powder diffractogram
Compound: NaAc4Ru2
Radiation: Cu Ka
Structure: DFT lattice parameters and positions (PBE)
No peak broadening, texture or thermal motion is included.

Atomic structure:
Cell: 18.5182 4.3525 6.6199 Å, 90.00 99.14 90.00°
Space group C2/m (No. 12)
Unique sites:
1 Na 0.0000 0.0000 0.0000 (multiplicity 2)
2 Ac 0.1354 0.0000 0.5508 (multiplicity 4)
3 Ac 0.1765 0.5000 0.0897 (multiplicity 4)
4 Ru 0.2351 0.5000 0.6703 (multiplicity 4)

Largest 10 diffraction maxima, sorted by position, 10° ≤ 2θ ≤ 90°:
d [Å], I_rel, index
3.615, 55, 1 1 -1
3.495, 24, 4 0 1
3.243, 61, 2 0 -2
3.000, 100, 3 1 1
2.884, 52, 4 0 -2
2.800, 34, 5 1 0
2.213, 33, 7 1 -1
2.176, 30, 0 2 0
1.967, 28, 1 1 -3
1.738, 34, 4 2 -2